Record 1
Diffraction record for Ti11Fe13O36. The powder diffractogram is computed, not measured: it uses a PBE+U-relaxed structure and Cu Ka.
Lines closer than 0.1° are merged.

Crystal structure
Lattice parameters (Å, degrees): 5.1793 5.5519 25.7607 93.32 90.08 117.75
Space group P1 (No. 1)
Inequivalent atoms, fractional coordinates:
Ti 0.0000 0.0000 0.0000 (multiplicity 1)
Ti 0.0002 0.0032 0.5012 (multiplicity 1)
Ti 0.2784 0.5474 0.4648 (multiplicity 1)
Ti 0.2827 0.5570 0.7155 (multiplicity 1)
Ti 0.3348 0.6669 0.8335 (multiplicity 1)
Ti 0.3402 0.6917 0.3330 (multiplicity 1)
Ti 0.6081 0.2184 0.0480 (multiplicity 1)
Ti 0.6082 0.2284 0.2975 (multiplicity 1)
Ti 0.6712 0.3360 0.6663 (multiplicity 1)
Ti 0.6799 0.3487 0.1641 (multiplicity 1)
Ti 0.9470 0.8912 0.8819 (multiplicity 1)
Fe 0.0013 0.9977 0.7505 (multiplicity 1)
Fe 0.2711 0.5513 0.2149 (multiplicity 1)
Fe 0.2800 0.5600 0.9649 (multiplicity 1)
Fe 0.3293 0.6606 0.5838 (multiplicity 1)
Fe 0.3375 0.6636 0.0852 (multiplicity 1)
Fe 0.6138 0.2269 0.7979 (multiplicity 1)
Fe 0.6173 0.2255 0.5500 (multiplicity 1)
Fe 0.6634 0.3249 0.4170 (multiplicity 1)
Fe 0.6654 0.3302 0.9166 (multiplicity 1)
Fe 0.9468 0.8858 0.3821 (multiplicity 1)
Fe 0.9492 0.8952 0.6332 (multiplicity 1)
Fe 0.9505 0.8984 0.1316 (multiplicity 1)
Fe 0.9933 0.9920 0.2494 (multiplicity 1)
O 0.0173 0.7058 0.1974 (multiplicity 1)
O 0.0259 0.3909 0.2892 (multiplicity 1)
O 0.0256 0.6991 0.7003 (multiplicity 1)
O 0.0665 0.3951 0.7857 (multiplicity 1)
O 0.1150 0.6139 0.8944 (multiplicity 1)
O 0.1395 0.6081 0.4005 (multiplicity 1)
O 0.1661 0.9433 0.8216 (multiplicity 1)
O 0.1900 0.9507 0.3157 (multiplicity 1)
O 0.2154 0.1610 0.9301 (multiplicity 1)
O 0.2287 0.1892 0.4340 (multiplicity 1)
O 0.2518 0.8378 0.5096 (multiplicity 1)
O 0.2584 0.8597 0.0168 (multiplicity 1)
O 0.3401 0.3621 0.5304 (multiplicity 1)
O 0.3585 0.3671 0.0321 (multiplicity 1)
O 0.3995 0.0674 0.6177 (multiplicity 1)
O 0.4049 0.0641 0.1190 (multiplicity 1)
O 0.4498 0.2811 0.7273 (multiplicity 1)
O 0.4731 0.2891 0.2339 (multiplicity 1)
O 0.5026 0.5992 0.1536 (multiplicity 1)
O 0.5027 0.6124 0.6551 (multiplicity 1)
O 0.5482 0.8267 0.7638 (multiplicity 1)
O 0.5501 0.8361 0.2671 (multiplicity 1)
O 0.5882 0.5028 0.3435 (multiplicity 1)
O 0.5908 0.5267 0.8498 (multiplicity 1)
O 0.6578 0.0335 0.3625 (multiplicity 1)
O 0.6904 0.7237 0.4548 (multiplicity 1)
O 0.6916 0.0341 0.8657 (multiplicity 1)
O 0.7328 0.7296 0.9520 (multiplicity 1)
O 0.7805 0.9445 0.5601 (multiplicity 1)
O 0.7850 0.9453 0.0609 (multiplicity 1)
O 0.8313 0.2748 0.9881 (multiplicity 1)
O 0.8555 0.2872 0.4856 (multiplicity 1)
O 0.8836 0.4868 0.0968 (multiplicity 1)
O 0.8956 0.5074 0.5990 (multiplicity 1)
O 0.9230 0.1913 0.6832 (multiplicity 1)
O 0.9244 0.1925 0.1842 (multiplicity 1)

Top 6 peaks for 2θ from 10° to 90°, in order of rising 2θ:
Position (°2θ), I_rel, h k l
23.52, 44, 0 1 4
32.33, 91, 0 1 -8
32.40, 45, 1 -2 0
34.61, 100, -1 1 8
48.08, 35, 2 0 -8
52.71, 37, 1 2 4

=====

Record 2
Diffraction record for Li6Co6O5F11. The powder diffractogram is computed, not measured: it uses a PBE+U-relaxed structure and Cu Ka.
Lines closer than 0.1° are merged.

Crystal structure
Lattice parameters (Å, degrees): 6.0144 6.0443 10.4193 106.38 90.12 119.79
Space group P1 (No. 1)
Inequivalent atoms, fractional coordinates:
Li 0.0000 0.0000 0.0000 (multiplicity 1)
Li 0.0600 0.6176 0.6876 (multiplicity 1)
Li 0.1240 0.2378 0.3670 (multiplicity 1)
Li 0.2990 0.6201 0.9358 (multiplicity 1)
Li 0.4903 0.9940 0.4887 (multiplicity 1)
Li 0.6215 0.2312 0.8710 (multiplicity 1)
Co 0.0228 0.6001 0.1839 (multiplicity 1)
Co 0.0680 0.1379 0.6739 (multiplicity 1)
Co 0.5473 0.6118 0.6829 (multiplicity 1)
Co 0.5645 0.1288 0.1813 (multiplicity 1)
Co 0.5765 0.5996 0.1816 (multiplicity 1)
Co 0.8106 0.5910 0.4096 (multiplicity 1)
O 0.1837 0.3510 0.5756 (multiplicity 1)
O 0.4614 0.3789 0.3040 (multiplicity 1)
O 0.6795 0.3749 0.0651 (multiplicity 1)
O 0.9054 0.8374 0.3064 (multiplicity 1)
O 0.9255 0.3761 0.3072 (multiplicity 1)
F 0.1604 0.8608 0.5640 (multiplicity 1)
F 0.1879 0.8513 0.0608 (multiplicity 1)
F 0.1978 0.3965 0.0649 (multiplicity 1)
F 0.4150 0.3620 0.8053 (multiplicity 1)
F 0.4199 0.8368 0.8022 (multiplicity 1)
F 0.4204 0.8459 0.2900 (multiplicity 1)
F 0.6624 0.8552 0.0608 (multiplicity 1)
F 0.6955 0.3974 0.5631 (multiplicity 1)
F 0.6984 0.8653 0.5633 (multiplicity 1)
F 0.9299 0.8753 0.7886 (multiplicity 1)
F 0.9494 0.3621 0.8021 (multiplicity 1)

Top 6 peaks for 2θ from 10° to 90°, in order of rising 2θ:
Position (°2θ), I_rel, h k l
17.23, 16, 1 0 0
18.04, 100, 0 0 2
34.83, 23, 0 2 -2
34.93, 19, 2 -2 0
42.31, 51, 2 0 2
42.47, 25, 0 2 -4

=====

Record 3
Diffraction record for VGe2O6. The powder diffractogram is computed, not measured: it uses a PBE+U-relaxed structure and Cu Ka.
Lines closer than 0.1° are merged.

Crystal structure
Lattice parameters (Å, degrees): 6.7537 7.5544 9.8305 101.10 103.46 94.94
Space group P-1 (No. 2)
Inequivalent atoms, fractional coordinates:
V 0.1018 0.3242 0.4256 (multiplicity 2)
V 0.1018 0.8246 0.9265 (multiplicity 2)
Ge 0.2087 0.0572 0.6734 (multiplicity 2)
Ge 0.2093 0.5573 0.1738 (multiplicity 2)
Ge 0.3840 0.2202 0.0109 (multiplicity 2)
Ge 0.3838 0.7202 0.5110 (multiplicity 2)
O 0.0387 0.3950 0.2195 (multiplicity 2)
O 0.0388 0.8946 0.7197 (multiplicity 2)
O 0.0788 0.1935 0.5645 (multiplicity 2)
O 0.0796 0.6936 0.0648 (multiplicity 2)
O 0.1755 0.0764 0.0377 (multiplicity 2)
O 0.1753 0.5764 0.5375 (multiplicity 2)
O 0.3464 0.2164 0.8280 (multiplicity 2)
O 0.3477 0.7162 0.3282 (multiplicity 2)
O 0.3711 0.3310 0.4101 (multiplicity 2)
O 0.3713 0.8308 0.9104 (multiplicity 2)
O 0.3881 0.4459 0.0986 (multiplicity 2)
O 0.3877 0.9459 0.5986 (multiplicity 2)

Top 6 peaks for 2θ from 10° to 90°, in order of rising 2θ:
Position (°2θ), I_rel, h k l
19.02, 57, 0 0 2
19.84, 49, 1 -1 1
28.61, 100, 0 1 -3
30.01, 66, 1 2 -2
34.24, 54, 0 2 2
35.83, 34, 2 1 1

=====

Record 4
Diffraction record for Li9Mn2Co5O16. The powder diffractogram is computed, not measured: it uses a PBE+U-relaxed structure and Cu Ka.
Lines closer than 0.1° are merged.

Crystal structure
Lattice parameters (Å, degrees): 5.1217 7.6532 7.8505 81.67 84.59 71.66
Space group P-1 (No. 2)
Inequivalent atoms, fractional coordinates:
Li 0.0000 0.0000 0.0000 (multiplicity 1)
Li 0.4982 0.5635 0.3080 (multiplicity 2)
Li 0.4992 0.3152 0.0620 (multiplicity 2)
Li 0.4991 0.9395 0.1740 (multiplicity 2)
Li 0.5004 0.1902 0.4351 (multiplicity 2)
Mn 0.9998 0.1232 0.6280 (multiplicity 2)
Co 0.0000 0.5000 0.5000 (multiplicity 1)
Co 0.0006 0.7477 0.7601 (multiplicity 2)
Co 0.0055 0.3641 0.8800 (multiplicity 2)
O 0.2192 0.0315 0.4148 (multiplicity 2)
O 0.2214 0.4096 0.2786 (multiplicity 2)
O 0.2217 0.6608 0.5242 (multiplicity 2)
O 0.2246 0.7868 0.1777 (multiplicity 2)
O 0.2256 0.9095 0.7656 (multiplicity 2)
O 0.2313 0.2745 0.6523 (multiplicity 2)
O 0.2373 0.5383 0.9103 (multiplicity 2)
O 0.2385 0.1714 0.0273 (multiplicity 2)

Top 6 peaks for 2θ from 10° to 90°, in order of rising 2θ:
Position (°2θ), I_rel, h k l
18.27, 100, 1 0 0
35.42, 14, 0 1 3
42.78, 29, -1 1 3
43.66, 27, 1 -2 2
44.00, 27, 2 3 1
62.78, 15, -2 3 1

=====

Record 5
Diffraction record for Y2Co2O7. The powder diffractogram is computed, not measured: it uses a PBE+U-relaxed structure and Cu Ka.
Lines closer than 0.1° are merged.

Crystal structure
Lattice parameters (Å, degrees): 9.9149 9.9149 9.9149 90.00 90.00 90.00
Space group Fd-3m (No. 227, origin choice 2)
Inequivalent atoms, fractional coordinates:
Y 0.0000 0.0000 0.0000 (multiplicity 16)
Co 0.0000 0.0000 0.5000 (multiplicity 16)
O 0.0778 0.3750 0.8750 (multiplicity 48)
O 0.1250 0.1250 0.1250 (multiplicity 8)

Top 6 peaks for 2θ from 10° to 90°, in order of rising 2θ:
Position (°2θ), I_rel, h k l
31.25, 100, 2 2 2
36.24, 24, 4 0 0
52.19, 49, 4 4 0
62.10, 38, 6 2 2
85.35, 15, 6 6 2
88.13, 12, 8 4 0

=====

Record 6
Diffraction record for Li9Mn2Co5O16. The powder diffractogram is computed, not measured: it uses a PBE+U-relaxed structure and Cu Ka.
Lines closer than 0.1° are merged.

Crystal structure
Lattice parameters (Å, degrees): 5.8921 5.9292 8.6140 70.79 87.99 86.31
Space group P1 (No. 1)
Inequivalent atoms, fractional coordinates:
Li 0.0000 0.0000 0.0000 (multiplicity 1)
Li 0.0003 0.4904 0.0034 (multiplicity 1)
Li 0.2513 0.3712 0.7499 (multiplicity 1)
Li 0.2535 0.8712 0.7500 (multiplicity 1)
Li 0.5113 0.7310 0.5168 (multiplicity 1)
Li 0.5119 0.2473 0.5099 (multiplicity 1)
Li 0.7543 0.3683 0.7508 (multiplicity 1)
Li 0.7551 0.1133 0.2627 (multiplicity 1)
Li 0.7592 0.6127 0.2651 (multiplicity 1)
Mn 0.5086 0.4959 0.0064 (multiplicity 1)
Mn 0.5092 0.9982 0.0076 (multiplicity 1)
Co 0.2509 0.1179 0.2569 (multiplicity 1)
Co 0.2560 0.6192 0.2620 (multiplicity 1)
Co 0.7570 0.8678 0.7569 (multiplicity 1)
Co 0.9978 0.7326 0.5111 (multiplicity 1)
Co 0.9992 0.2407 0.5057 (multiplicity 1)
O 0.0178 0.8458 0.2724 (multiplicity 1)
O 0.0189 0.3535 0.2620 (multiplicity 1)
O 0.2376 0.0133 0.4925 (multiplicity 1)
O 0.2472 0.5098 0.5008 (multiplicity 1)
O 0.2561 0.2232 0.0131 (multiplicity 1)
O 0.2833 0.7522 0.0199 (multiplicity 1)
O 0.4908 0.3896 0.2474 (multiplicity 1)
O 0.4933 0.8885 0.2476 (multiplicity 1)
O 0.5151 0.0937 0.7715 (multiplicity 1)
O 0.5304 0.6374 0.7703 (multiplicity 1)
O 0.7228 0.2308 0.0095 (multiplicity 1)
O 0.7555 0.7697 0.9968 (multiplicity 1)
O 0.7589 0.9628 0.5223 (multiplicity 1)
O 0.7722 0.4722 0.5074 (multiplicity 1)
O 0.9749 0.0939 0.7411 (multiplicity 1)
O 0.9904 0.6369 0.7475 (multiplicity 1)

Top 6 peaks for 2θ from 10° to 90°, in order of rising 2θ:
Position (°2θ), I_rel, h k l
18.49, 100, 1 0 1
34.76, 17, 1 2 0
41.90, 31, 2 2 1
44.56, 26, 0 0 4
44.85, 25, -2 2 1
62.80, 15, 2 2 -3